Ce5PuHg5: simulated powder diffractogram (Cu Kα X-rays), based on a PBE-relaxed structure.
No peak broadening, texture or thermal motion is included.

The 10 most intense peaks (10° ≤ 2θ ≤ 90°), by angle:
Position (°2θ)	I/Imax
14.4	11.4
18.7	25.5
24.7	27.2
33.0	20.9
33.2	58.5
34.8	100.0
35.8	42.0
50.0	13.4
50.7	29.5
59.7	11.5

Atomic structure:
Cell: 7.974 7.974 9.510 Å, 123.37 123.37 37.80°
Sites, in units of the cell vectors:
Ce1 0.000 0.000 0.000
Ce2 0.350 0.350 0.031
Ce3 0.369 0.369 0.687
Ce4 0.631 0.631 0.313
Ce5 0.650 0.650 0.969
Pu1 0.500 0.500 0.000
Hg1 0.069 0.069 0.716
Hg2 0.256 0.256 0.270
Hg3 0.500 0.500 0.500
Hg4 0.744 0.744 0.730
Hg5 0.931 0.931 0.284

CePuHg2: simulated powder diffractogram (Cu Kα X-rays), based on a PBE-relaxed structure.
No peak broadening, texture or thermal motion is included.

The 10 most intense peaks (10° ≤ 2θ ≤ 90°), by angle:
Position (°2θ)	I/Imax
33.1	86.4
33.6	100.0
38.0	33.3
39.1	57.3
55.6	37.1
57.0	11.6
58.7	12.9
65.8	11.9
66.8	13.7
67.5	22.8

Atomic structure:
Cell: 6.615 6.615 6.615 Å, 121.51 88.44 120.30°
Sites, in units of the cell vectors:
Ce1 0.265 0.015 0.250
Ce2 0.735 0.985 0.750
Pu1 0.310 0.560 0.750
Pu2 0.690 0.440 0.250
Hg1 0.232 0.000 0.732
Hg2 0.232 0.500 0.232
Hg3 0.768 0.000 0.268
Hg4 0.768 0.500 0.768

Ce3Pu3Hg5: simulated powder diffractogram (Cu Kα X-rays), based on a PBE-relaxed structure.
No peak broadening, texture or thermal motion is included.

The 10 most intense peaks (10° ≤ 2θ ≤ 90°), by angle:
Position (°2θ)	I/Imax
26.1	52.8
27.0	61.7
30.7	71.1
31.6	62.3
35.6	36.2
37.1	54.5
37.9	100.0
44.6	85.2
70.2	29.5
71.2	23.7

Atomic structure:
Cell: 10.094 10.094 3.419 Å, 90.00 90.00 120.00°
Sites, in units of the cell vectors:
Ce1 0.000 0.383 0.000
Ce2 0.383 0.000 0.000
Ce3 0.617 0.617 0.000
Pu1 0.000 0.174 0.500
Pu2 0.174 0.000 0.500
Pu3 0.826 0.826 0.500
Hg1 0.000 0.647 0.500
Hg2 0.333 0.667 0.500
Hg3 0.353 0.353 0.500
Hg4 0.647 0.000 0.500
Hg5 0.667 0.333 0.500

Rb4Ce3HgS8: simulated powder diffractogram (Cu Kα X-rays), based on a PBE-relaxed structure.
No peak broadening, texture or thermal motion is included.

The 10 most intense peaks (10° ≤ 2θ ≤ 90°), by angle:
Position (°2θ)	I/Imax
11.5	25.7
23.2	22.3
25.7	45.1
29.0	100.0
40.0	36.2
43.1	34.5
46.7	13.7
49.5	18.6
52.8	17.9
70.4	19.4

Atomic structure:
Cell: 8.404 8.404 9.074 Å, 117.61 117.61 59.93°
Sites, in units of the cell vectors:
Rb1 0.000 0.000 0.000
Rb2 0.000 0.500 0.000
Rb3 0.500 0.000 0.000
Rb4 0.500 0.500 0.000
Ce1 0.000 0.000 0.500
Ce2 0.000 0.500 0.500
Ce3 0.500 0.000 0.500
Hg1 0.500 0.500 0.500
S1 0.222 0.736 0.695
S2 0.232 0.232 0.695
S3 0.263 0.263 0.304
S4 0.264 0.778 0.305
S5 0.736 0.222 0.695
S6 0.737 0.737 0.696
S7 0.768 0.768 0.305
S8 0.778 0.264 0.305

Ce6ReHg3: simulated powder diffractogram (Cu Kα X-rays), based on a PBE-relaxed structure.
No peak broadening, texture or thermal motion is included.

The 10 most intense peaks (10° ≤ 2θ ≤ 90°), by angle:
Position (°2θ)	I/Imax
20.7	16.2
28.4	21.3
30.1	42.0
32.4	100.0
35.3	54.8
35.5	28.5
36.6	26.8
43.0	17.2
62.9	19.2
64.1	15.7

Atomic structure:
Cell: 6.061 6.061 8.220 Å, 101.76 101.76 68.57°
Sites, in units of the cell vectors:
Ce1 0.084 0.662 0.634
Ce2 0.338 0.916 0.366
Ce3 0.349 0.349 0.128
Ce4 0.651 0.651 0.872
Ce5 0.662 0.084 0.634
Ce6 0.916 0.338 0.366
Re1 0.500 0.500 0.500
Hg1 0.000 0.000 0.000
Hg2 0.173 0.173 0.750
Hg3 0.827 0.827 0.250

Ce3Hg5Rh2: simulated powder diffractogram (Cu Kα X-rays), based on a PBE-relaxed structure.
No peak broadening, texture or thermal motion is included.

The 10 most intense peaks (10° ≤ 2θ ≤ 90°), by angle:
Position (°2θ)	I/Imax
14.7	18.4
29.6	47.7
30.9	100.0
32.2	83.6
39.7	91.0
40.5	29.3
41.6	29.2
42.4	33.1
55.7	17.9
65.9	24.8

Atomic structure:
Cell: 9.302 9.302 9.302 Å, 99.04 95.42 138.46°
Sites, in units of the cell vectors:
Ce1 0.136 0.739 0.875
Ce2 0.250 0.250 0.000
Ce3 0.364 0.239 0.603
Ce4 0.636 0.761 0.397
Ce5 0.750 0.750 0.000
Ce6 0.864 0.261 0.125
Hg1 0.007 0.750 0.257
Hg2 0.116 0.339 0.455
Hg3 0.250 0.750 0.500
Hg4 0.384 0.839 0.223
Hg5 0.493 0.750 0.743
Hg6 0.507 0.250 0.257
Hg7 0.616 0.161 0.777
Hg8 0.750 0.250 0.500
Hg9 0.884 0.661 0.545
Hg10 0.993 0.250 0.743
Rh1 0.111 0.118 0.229
Rh2 0.389 0.618 0.006
Rh3 0.611 0.382 0.994
Rh4 0.889 0.882 0.771

Ce6HgRh5: simulated powder diffractogram (Cu Kα X-rays), based on a PBE-relaxed structure.
No peak broadening, texture or thermal motion is included.

The 10 most intense peaks (10° ≤ 2θ ≤ 90°), by angle:
Position (°2θ)	I/Imax
30.9	53.1
31.0	100.0
43.4	18.8
44.0	36.1
44.7	36.8
45.6	15.8
53.6	9.7
54.8	9.9
56.1	16.7
64.7	11.1

Atomic structure:
Cell: 6.975 6.975 7.062 Å, 99.39 99.39 117.80°
Sites, in units of the cell vectors:
Ce1 0.050 0.409 0.731
Ce2 0.219 0.219 0.246
Ce3 0.409 0.050 0.731
Ce4 0.591 0.950 0.269
Ce5 0.781 0.781 0.754
Ce6 0.950 0.591 0.269
Hg1 0.500 0.500 0.000
Rh1 0.000 0.000 0.500
Rh2 0.173 0.827 0.000
Rh3 0.352 0.648 0.500
Rh4 0.648 0.352 0.500
Rh5 0.827 0.173 0.000

Ce5Hg2Ru: simulated powder diffractogram (Cu Kα X-rays), based on a PBE-relaxed structure.
No peak broadening, texture or thermal motion is included.

The 10 most intense peaks (10° ≤ 2θ ≤ 90°), by angle:
Position (°2θ)	I/Imax
30.1	59.4
33.1	93.7
33.5	100.0
34.2	77.4
34.3	56.1
34.5	73.8
34.8	56.4
47.2	34.0
48.4	33.0
60.2	42.8

Atomic structure:
Cell: 6.425 6.435 6.460 Å, 108.66 106.57 112.61°
Sites, in units of the cell vectors:
Ce1 0.000 0.000 0.000
Ce2 0.011 0.500 0.509
Ce3 0.453 0.441 0.575
Ce4 0.506 0.001 0.515
Ce5 0.530 0.523 0.044
Hg1 0.011 0.506 0.005
Hg2 0.503 0.002 0.013
Ru1 0.892 0.883 0.559

Ce2Hg2Ru: simulated powder diffractogram (Cu Kα X-rays), based on a PBE-relaxed structure.
No peak broadening, texture or thermal motion is included.

The 10 most intense peaks (10° ≤ 2θ ≤ 90°), by angle:
Position (°2θ)	I/Imax
29.6	12.8
34.2	100.0
38.2	40.4
42.6	10.6
51.9	7.6
55.1	14.0
58.6	16.6
63.5	7.1
66.5	29.4
72.1	9.0

Atomic structure:
Cell: 10.861 10.861 10.861 Å, 162.36 162.36 25.05°
Sites, in units of the cell vectors:
Ce1 0.085 0.085 0.000
Ce2 0.915 0.915 0.000
Hg1 0.302 0.302 0.000
Hg2 0.698 0.698 0.000
Ru1 0.500 0.500 0.000

Ce3Hg2Ru: simulated powder diffractogram (Cu Kα X-rays), based on a PBE-relaxed structure.
No peak broadening, texture or thermal motion is included.

The 10 most intense peaks (10° ≤ 2θ ≤ 90°), by angle:
Position (°2θ)	I/Imax
31.2	100.0
31.3	54.8
33.1	68.6
34.5	73.2
34.7	98.4
40.6	29.2
40.7	32.5
48.5	46.7
61.9	36.0
71.1	28.7

Atomic structure:
Cell: 8.984 8.984 6.977 Å, 90.00 90.00 33.66°
Sites, in units of the cell vectors:
Ce1 0.003 0.997 0.750
Ce2 0.364 0.364 0.000
Ce3 0.364 0.364 0.500
Ce4 0.636 0.636 0.000
Ce5 0.636 0.636 0.500
Ce6 0.997 0.003 0.250
Hg1 0.196 0.196 0.250
Hg2 0.196 0.196 0.750
Hg3 0.804 0.804 0.250
Hg4 0.804 0.804 0.750
Ru1 0.496 0.504 0.250
Ru2 0.504 0.496 0.750

Ce6Hg5Ru: simulated powder diffractogram (Cu Kα X-rays), based on a PBE-relaxed structure.
No peak broadening, texture or thermal motion is included.

The 10 most intense peaks (10° ≤ 2θ ≤ 90°), by angle:
Position (°2θ)	I/Imax
30.3	16.6
32.9	35.0
33.3	23.3
34.5	100.0
47.5	17.4
51.7	6.3
59.7	20.7
60.3	9.2
62.6	7.1
66.2	7.4

Atomic structure:
Cell: 9.228 9.228 9.228 Å, 145.65 134.90 57.90°
Sites, in units of the cell vectors:
Ce1 0.066 0.350 0.716
Ce2 0.199 0.000 0.199
Ce3 0.365 0.650 0.716
Ce4 0.635 0.350 0.284
Ce5 0.801 0.000 0.801
Ce6 0.934 0.650 0.284
Hg1 0.195 0.195 0.000
Hg2 0.338 0.838 0.500
Hg3 0.500 0.500 0.000
Hg4 0.662 0.162 0.500
Hg5 0.805 0.805 0.000
Ru1 0.000 0.500 0.500

CeHgS2: simulated powder diffractogram (Cu Kα X-rays), based on a PBE-relaxed structure.
No peak broadening, texture or thermal motion is included.

The 10 most intense peaks (10° ≤ 2θ ≤ 90°), by angle:
Position (°2θ)	I/Imax
19.7	81.6
25.7	65.1
25.8	32.1
28.1	50.3
28.2	100.0
36.4	18.8
36.5	18.7
36.7	18.6
43.7	50.8
48.2	24.8

Atomic structure:
Cell: 4.141 4.142 9.299 Å, 102.31 90.30 119.99°
Sites, in units of the cell vectors:
Ce1 0.000 0.000 0.000
Hg1 0.494 0.001 0.500
S1 0.284 0.572 0.853
S2 0.716 0.428 0.147

Ce4Hg2S: simulated powder diffractogram (Cu Kα X-rays), based on a PBE-relaxed structure.
No peak broadening, texture or thermal motion is included.

The 10 most intense peaks (10° ≤ 2θ ≤ 90°), by angle:
Position (°2θ)	I/Imax
11.6	16.8
17.6	17.5
23.6	46.8
26.4	60.3
33.5	98.2
33.7	100.0
33.9	69.5
48.4	36.3
48.5	50.8
60.1	37.4

Atomic structure:
Cell: 8.497 8.497 8.497 Å, 143.48 143.48 52.60°
Sites, in units of the cell vectors:
Ce1 0.000 0.500 0.500
Ce2 0.181 0.181 0.000
Ce3 0.500 0.000 0.500
Ce4 0.819 0.819 0.000
Hg1 0.380 0.380 0.000
Hg2 0.620 0.620 0.000
S1 0.000 0.000 0.000